[1]
TlSeI6: computed powder diffraction line list (Cu Kα, 1.54184 Å), based on a GGA-PBE-relaxed structure.

Structure:
```
data_TlSeI6
_space_group_name_H-M_alt 'C 1 2/m 1'
_space_group_IT_number 12
_cell_length_a 9.144
_cell_length_b 12.363
_cell_length_c 7.900
_cell_angle_alpha 90.00
_cell_angle_beta 124.46
_cell_angle_gamma 90.00
loop_
_space_group_symop_operation_xyz
'x,y,z'
'-x,-y,-z'
'-x,y,-z'
'x,-y,z'
'x+1/2,y+1/2,z'
'-x+1/2,-y+1/2,-z'
'-x+1/2,y+1/2,-z'
'x+1/2,-y+1/2,z'
loop_
_atom_site_label
_atom_site_fract_x
_atom_site_fract_y
_atom_site_fract_z
_atom_site_occupancy
Tl1 0.000 0.000 0.000 1
Se1 0.000 0.000 0.500 1
I1 0.172 0.175 0.827 1
I2 0.194 0.500 0.507 1
```

Top 12 peaks for 10° ≤ 2θ ≤ 80°, low angle first:
hkl 1 1 0, 13.76 deg, I 68
hkl 0 2 0, 14.33 deg, I 19
hkl 0 2 1, 19.80 deg, I 25
hkl 1 1 1, 23.66 deg, I 43
hkl 2 2 -1, 24.22 deg, I 74
hkl 1 3 -1, 24.70 deg, I 48
hkl 0 2 2, 31.07 deg, I 100
hkl 1 3 -2, 31.59 deg, I 46
hkl 0 4 2, 40.23 deg, I 20
hkl 3 3 0, 42.12 deg, I 48
hkl 0 6 0, 43.94 deg, I 21
hkl 3 5 -2, 47.96 deg, I 18

[2]
Tm2SeI2: computed powder diffraction line list (Cu Kα, 1.54184 Å), based on a GGA-PBE-relaxed structure.

Structure:
```
data_Tm2SeI2
_space_group_name_H-M_alt 'C 1 2/m 1'
_space_group_IT_number 12
_cell_length_a 7.170
_cell_length_b 4.137
_cell_length_c 11.832
_cell_angle_alpha 90.00
_cell_angle_beta 103.03
_cell_angle_gamma 90.00
loop_
_space_group_symop_operation_xyz
'x,y,z'
'-x,-y,-z'
'-x,y,-z'
'x,-y,z'
'x+1/2,y+1/2,z'
'-x+1/2,-y+1/2,-z'
'-x+1/2,y+1/2,-z'
'x+1/2,-y+1/2,z'
loop_
_atom_site_label
_atom_site_fract_x
_atom_site_fract_y
_atom_site_fract_z
_atom_site_occupancy
Tm1 0.213 0.000 0.125 1
Se1 0.000 0.500 0.000 1
I1 0.056 0.000 0.703 1
```

Top 12 peaks for 10° ≤ 2θ ≤ 80°, low angle first:
hkl 2 0 -1, 24.91 deg, I 11
hkl 1 1 0, 25.02 deg, I 22
hkl 1 1 1, 27.05 deg, I 19
hkl 2 0 -3, 30.46 deg, I 51
hkl 1 1 2, 31.01 deg, I 100
hkl 1 1 -3, 32.26 deg, I 23
hkl 0 2 0, 43.76 deg, I 58
hkl 1 1 -5, 44.29 deg, I 40
hkl 2 0 4, 45.07 deg, I 15
hkl 2 2 -3, 54.25 deg, I 20
hkl 4 0 1, 54.94 deg, I 12
hkl 2 2 4, 64.64 deg, I 11

[3]
Tm3SeI7: computed powder diffraction line list (Cu Kα, 1.54184 Å), based on a GGA-PBE-relaxed structure.

Structure:
```
data_Tm3SeI7
_space_group_name_H-M_alt 'P 3 m 1'
_space_group_IT_number 156
_cell_length_a 8.5632
_cell_length_b 8.5632
_cell_length_c 7.7225
_cell_angle_alpha 90.00
_cell_angle_beta 90.00
_cell_angle_gamma 120.00
loop_
_space_group_symop_operation_xyz
'x,y,z'
'-y,x-y,z'
'-x+y,-x,z'
'-y,-x,z'
'-x+y,y,z'
'x,x-y,z'
loop_
_atom_site_label
_atom_site_fract_x
_atom_site_fract_y
_atom_site_fract_z
_atom_site_occupancy
Tm1 0.0178 0.5089 0.0000 1
Se1 0.3333 0.6667 0.1856 1
I1 0.1683 0.3367 0.7633 1
I2 0.3387 0.1694 0.2143 1
I3 0.6667 0.3333 0.7667 1
```

Top 12 peaks for 10° ≤ 2θ ≤ 80°, low angle first:
hkl 0 0 1, 11.46 deg, I 61
hkl 0 1 1, 16.57 deg, I 13
hkl 2 0 1, 26.67 deg, I 100
hkl 2 0 2, 33.51 deg, I 63
hkl 2 2 0, 42.21 deg, I 36
hkl 0 2 3, 42.76 deg, I 34
hkl 2 2 1, 43.89 deg, I 13
hkl 0 4 1, 50.63 deg, I 17
hkl 0 4 2, 54.94 deg, I 15
hkl 2 2 4, 65.06 deg, I 14
hkl 4 2 1, 67.98 deg, I 13
hkl 4 2 2, 71.63 deg, I 13

[4]
V4Se8I: computed powder diffraction line list (Cu Kα, 1.54184 Å), based on a GGA-PBE-relaxed structure.

Structure:
```
data_V4Se8I
_space_group_name_H-M_alt 'R -3 m'
_space_group_IT_number 166
_space_group_name_Hall '-R 3 2"'
_cell_length_a 6.6664
_cell_length_b 6.6664
_cell_length_c 27.1185
_cell_angle_alpha 90.00
_cell_angle_beta 90.00
_cell_angle_gamma 120.00
loop_
_atom_site_label
_atom_site_fract_x
_atom_site_fract_y
_atom_site_fract_z
_atom_site_occupancy
V1 0.0000 0.0000 0.0000 1
V2 0.0000 0.5000 0.0000 1
Se1 0.0000 0.0000 0.2747 1
Se2 0.0012 0.5006 0.2749 1
I1 0.0000 0.0000 0.5000 1
```

Top 12 peaks for 10° ≤ 2θ ≤ 80°, low angle first:
hkl 1 0 1, 15.69 deg, I 15
hkl 0 0 9, 29.65 deg, I 20
hkl 2 0 2, 31.69 deg, I 13
hkl 0 2 4, 33.75 deg, I 100
hkl 2 0 5, 35.22 deg, I 17
hkl 0 2 7, 38.91 deg, I 39
hkl 2 0 8, 41.07 deg, I 22
hkl 2 0 11, 48.56 deg, I 24
hkl 2 2 0, 55.11 deg, I 31
hkl 2 0 14, 57.28 deg, I 14
hkl 2 2 9, 63.82 deg, I 14
hkl 4 0 4, 66.20 deg, I 13